Simulated powder X-ray diffraction pattern
Compound: Mn7P6H4O24
Radiation: Cu Kα
Structure: DFT lattice parameters and positions (PBE+U)

The 6 most intense peaks (2θ = 10–90°), by intensity:
3.106 Å, rel. 100, hkl 0 2 1; 3.137 Å, rel. 55, hkl 0 1 -3; 3.251 Å, rel. 35, hkl 2 0 -1; 3.291 Å, rel. 32, hkl 1 -1 2; 2.725 Å, rel. 26, hkl 1 2 -3; 4.493 Å, rel. 26, hkl 1 -1 1

Cell and atoms:
```
Mn7P6H4O24
1.0
6.6433 0.0000 0.0000
-1.6009 7.9881 0.0000
-3.2402 -3.1859 8.8711
Mn P H O
7 6 4 24
Direct
0.0000 0.0000 0.0000
0.0398 0.7178 0.5118
0.2873 0.8148 0.2852
0.3806 0.4550 0.1055
0.6194 0.5450 0.8945
0.7127 0.1852 0.7148
0.9602 0.2822 0.4882
0.0832 0.5825 0.8218
0.2273 0.1445 0.7819
0.4083 0.2288 0.3853
0.5917 0.7712 0.6147
0.7727 0.8555 0.2181
0.9168 0.4175 0.1782
0.1800 0.8760 0.8077
0.4176 0.4966 0.5977
0.5824 0.5034 0.4023
0.8200 0.1240 0.1923
0.0210 0.1696 0.6706
0.0526 0.5442 0.6546
0.1025 0.7821 0.8926
0.1238 0.5357 0.1683
0.2116 0.9389 0.7316
0.2212 0.1866 0.9417
0.2745 0.0617 0.2437
0.2804 0.2965 0.4788
0.2981 0.5431 0.9089
0.3813 0.8002 0.5104
0.4462 0.2458 0.7784
0.4877 0.3826 0.3213
0.5123 0.6174 0.6787
0.5538 0.7542 0.2216
0.6187 0.1998 0.4896
0.7019 0.4569 0.0911
0.7196 0.7035 0.5212
0.7255 0.9383 0.7563
0.7788 0.8134 0.0583
0.7884 0.0611 0.2684
0.8762 0.4643 0.8317
0.8975 0.2179 0.1074
0.9474 0.4558 0.3454
0.9790 0.8304 0.3294
```